Record 1
K2RbSn2I7: simulated powder diffraction line list (λ = 1.5418 Å (Cu Kα)), based on a PBE-relaxed structure.

Atomic structure:
Unit cell a=6.268 b=27.912 c=6.988 alpha=90.00 beta=90.00 gamma=90.00
Space group Imm2 (No. 44)
One atom of each set of equivalent atoms:
1 K 0.000 0.219 0.000
2 Rb 0.000 0.500 0.420
3 Sn 0.000 0.109 0.517
4 I 0.000 0.000 0.611
5 I 0.000 0.095 0.098
6 I 0.000 0.226 0.498
7 I 0.000 0.386 0.093

Most intense lines, 10 to 80 degrees two-theta, by angle:
2θ 22.93, I = 93, (1 4 1)
2θ 25.51, I = 100, (0 0 2)
2θ 28.50, I = 100, (2 0 0)
2θ 32.05, I = 50, (0 10 0)
2θ 38.60, I = 66, (2 0 2)
2θ 43.41, I = 49, (2 10 0)



Record 2
KRbTl2I8: simulated powder diffraction line list (λ = 1.5418 Å (Cu Kα)), based on a PBE-relaxed structure.

Atomic structure:
Unit cell a=7.956 b=7.956 c=18.899 alpha=90.00 beta=90.00 gamma=90.00
Space group I-4 (No. 82)
One atom of each set of equivalent atoms:
1 K 0.000 0.000 0.000
2 Rb 0.000 0.500 0.250
3 Tl 0.000 0.000 0.500
4 Tl 0.000 0.500 0.750
5 I 0.158 0.751 0.835
6 I 0.164 0.252 0.418

Most intense lines, 10 to 80 degrees two-theta, by angle:
2θ 12.07, I = 59, (1 0 1)
2θ 17.96, I = 56, (1 0 3)
2θ 18.35, I = 100, (1 1 2)
2θ 24.60, I = 100, (1 1 4)
2θ 25.47, I = 70, (1 2 1)
2θ 29.35, I = 92, (2 0 4)



Record 3
KRb2TlI4: simulated powder diffraction line list (λ = 1.5418 Å (Cu Kα)), based on a PBE-relaxed structure.

Atomic structure:
Unit cell a=8.950 b=5.168 c=8.952 alpha=90.00 beta=109.45 gamma=90.00
Space group P2/m (No. 10)
One atom of each set of equivalent atoms:
1 K 0.000 0.000 0.000
2 Rb 0.500 0.000 0.500
3 Rb 0.500 0.500 0.000
4 Tl 0.000 0.500 0.500
5 I 0.238 0.000 0.746
6 I 0.238 0.500 0.247

Most intense lines, 10 to 80 degrees two-theta, by angle:
2θ 24.36, I = 100, (1 1 1)
2θ 34.72, I = 79, (0 2 0)
2θ 42.86, I = 29, (0 0 4)
2θ 56.29, I = 38, (1 3 1)
2θ 62.23, I = 28, (2 0 -6)
2θ 78.53, I = 18, (3 3 -5)



Record 4
KRb2VI6: simulated powder diffraction line list (λ = 1.5418 Å (Cu Kα)), based on a PBE-relaxed structure.

Atomic structure:
Unit cell a=8.428 b=8.432 c=8.433 alpha=63.42 beta=63.42 gamma=63.42
Space group P-1 (No. 2)
One atom of each set of equivalent atoms:
1 K 0.000 0.000 0.000
2 Rb 0.265 0.265 0.266
3 V 0.500 0.500 0.500
4 I 0.195 0.363 0.703
5 I 0.297 0.805 0.637
6 I 0.363 0.703 0.195

Most intense lines, 10 to 80 degrees two-theta, by angle:
2θ 12.34, I = 37, (0 0 1)
2θ 24.08, I = 100, (2 0 1)
2θ 24.83, I = 62, (2 0 0)
2θ 26.61, I = 41, (2 2 2)
2θ 29.28, I = 71, (2 2 0)
2θ 31.15, I = 38, (1 0 -2)



Record 5
K3RhI8: simulated powder diffraction line list (λ = 1.5418 Å (Cu Kα)), based on a PBE-relaxed structure.

Atomic structure:
Unit cell a=8.780 b=8.780 c=13.069 alpha=90.00 beta=90.00 gamma=90.00
Space group I4/mmm (No. 139)
One atom of each set of equivalent atoms:
1 K 0.000 0.000 0.000
2 K 0.000 0.500 0.250
3 Rh 0.000 0.000 0.500
4 I 0.219 0.219 0.375

Most intense lines, 10 to 80 degrees two-theta, by angle:
2θ 12.14, I = 37, (1 0 1)
2θ 20.23, I = 69, (2 0 0)
2θ 28.76, I = 71, (2 2 0)
2θ 34.21, I = 100, (2 0 4)
2θ 37.57, I = 21, (3 2 1)
2θ 54.53, I = 30, (4 2 4)



Record 6
K12S3I5: simulated powder diffraction line list (λ = 1.5418 Å (Cu Kα)), based on a PBE-relaxed structure.

Atomic structure:
Unit cell a=14.5782 b=14.5782 c=4.9016 alpha=90.00 beta=90.00 gamma=120.00
Space group P-62m (No. 189)
One atom of each set of equivalent atoms:
1 K 0.0000 0.5449 0.0000
2 K 0.0000 0.8108 0.0000
3 K 0.2029 0.4423 0.5000
4 S 0.0000 0.6692 0.5000
5 I 0.0000 0.3031 0.0000
6 I 0.3333 0.6667 0.0000

Most intense lines, 10 to 80 degrees two-theta, by angle:
2θ 21.11, I = 74, (3 0 0)
2θ 21.85, I = 43, (1 1 1)
2θ 26.06, I = 100, (2 1 1)
2θ 27.94, I = 83, (3 0 1)
2θ 30.57, I = 61, (2 2 1)
2θ 37.44, I = 49, (4 1 1)



Record 7
KS14I: simulated powder diffraction line list (λ = 1.5418 Å (Cu Kα)), based on a PBE-relaxed structure.

Atomic structure:
Unit cell a=32.073 b=6.263 c=11.584 alpha=90.00 beta=99.73 gamma=90.00
Space group C2/c (No. 15)
One atom of each set of equivalent atoms:
1 K 0.000 0.000 0.000
2 S 0.072 0.288 0.375
3 S 0.122 0.200 0.931
4 S 0.126 0.163 0.445
5 S 0.135 0.188 0.640
6 S 0.183 0.274 0.996
7 S 0.187 0.350 0.173
8 S 0.193 0.320 0.678
9 I 0.000 0.313 0.750

Most intense lines, 10 to 80 degrees two-theta, by angle:
2θ 16.83, I = 55, (6 0 0)
2θ 17.56, I = 100, (4 0 -2)
2θ 21.61, I = 30, (1 1 2)
2θ 24.48, I = 44, (7 1 -1)
2θ 27.98, I = 26, (1 1 3)
2θ 28.50, I = 28, (0 2 0)



Record 8
K4SI2: simulated powder diffraction line list (λ = 1.5418 Å (Cu Kα)), based on a PBE-relaxed structure.

Atomic structure:
Unit cell a=9.441 b=7.892 c=9.634 alpha=90.00 beta=116.60 gamma=90.00
Space group P2_1/m (No. 11)
One atom of each set of equivalent atoms:
1 K 0.016 0.250 0.278
2 K 0.283 0.250 0.020
3 K 0.380 0.003 0.615
4 S 0.362 0.250 0.359
5 I 0.008 0.250 0.634
6 I 0.366 0.750 0.011

Most intense lines, 10 to 80 degrees two-theta, by angle:
2θ 10.91, I = 83, (1 0 -1)
2θ 21.01, I = 61, (1 1 1)
2θ 21.65, I = 91, (1 1 -2)
2θ 21.94, I = 100, (2 1 -1)
2θ 22.53, I = 82, (0 2 0)
2θ 28.80, I = 90, (1 2 1)



Record 9
K3SI: simulated powder diffraction line list (λ = 1.5418 Å (Cu Kα)), based on a PBE-relaxed structure.

Atomic structure:
Unit cell a=8.481 b=4.863 c=19.244 alpha=90.00 beta=90.00 gamma=90.00
Space group Pnma (No. 62)
One atom of each set of equivalent atoms:
1 K 0.017 0.250 0.081
2 K 0.127 0.750 0.458
3 K 0.157 0.250 0.695
4 S 0.238 0.750 0.044
5 I 0.159 0.250 0.303

Most intense lines, 10 to 80 degrees two-theta, by angle:
2θ 25.27, I = 84, (1 1 3)
2θ 25.41, I = 53, (1 0 5)
2θ 28.12, I = 56, (1 1 4)
2θ 29.45, I = 100, (2 1 2)
2θ 31.46, I = 74, (1 1 5)
2θ 36.97, I = 45, (0 2 0)



Record 10
KTl2SI: simulated powder diffraction line list (λ = 1.5418 Å (Cu Kα)), based on a PBE-relaxed structure.

Atomic structure:
Unit cell a=7.730 b=7.730 c=13.112 alpha=90.00 beta=90.00 gamma=90.00
Space group I4/mcm (No. 140)
One atom of each set of equivalent atoms:
1 K 0.000 0.000 0.250
2 Tl 0.147 0.353 0.000
3 S 0.000 0.000 0.000
4 I 0.000 0.500 0.250

Most intense lines, 10 to 80 degrees two-theta, by angle:
2θ 13.51, I = 44, (0 0 2)
2θ 26.67, I = 100, (2 1 1)
2θ 26.78, I = 32, (2 0 2)
2θ 27.20, I = 46, (0 0 4)
2θ 33.04, I = 58, (2 1 3)
2θ 39.34, I = 45, (3 1 2)



Record 11
K3ScI6: simulated powder diffraction line list (λ = 1.5418 Å (Cu Kα)), based on a PBE-relaxed structure.

Atomic structure:
Unit cell a=14.0547 b=14.0547 c=16.8528 alpha=90.00 beta=90.00 gamma=120.00
Space group R-3 (No. 148, hexagonal axes)
One atom of each set of equivalent atoms:
1 K 0.0550 0.2735 0.1997
2 Sc 0.0000 0.0000 0.0000
3 Sc 0.0000 0.0000 0.5000
4 I 0.0157 0.1780 0.4007
5 I 0.0364 0.1852 0.9006

Most intense lines, 10 to 80 degrees two-theta, by angle:
2θ 12.78, I = 36, (0 1 2)
2θ 22.01, I = 100, (3 -2 2)
2θ 22.33, I = 39, (1 0 4)
2θ 28.48, I = 78, (3 1 2)
2θ 28.73, I = 92, (2 1 4)
2θ 33.79, I = 69, (1 4 0)



Record 12
K3ScI: simulated powder diffraction line list (λ = 1.5418 Å (Cu Kα)), based on a PBE-relaxed structure.

Atomic structure:
Unit cell a=6.696 b=6.696 c=6.696 alpha=90.00 beta=90.00 gamma=90.00
Space group Pm-3m (No. 221)
One atom of each set of equivalent atoms:
1 K 0.000 0.000 0.500
2 Sc 0.500 0.500 0.500
3 I 0.000 0.000 0.000

Most intense lines, 10 to 80 degrees two-theta, by angle:
2θ 13.22, I = 87, (1 0 0)
2θ 18.74, I = 90, (1 1 0)
2θ 26.62, I = 100, (2 0 0)
2θ 29.84, I = 50, (2 1 0)
2θ 32.76, I = 44, (2 1 1)
2θ 38.01, I = 74, (2 2 0)